Starting from a PBE+U-relaxed structure, the powder X-ray diffraction pattern of Nd2MoPbO8 was calculated for copper Kα.
No peak broadening, texture or thermal motion is included.

Structure:
Cell: 5.036 5.036 7.073 Å, 91.01 91.01 93.03°
Sites, in units of the cell vectors:
Nd (0.040, 0.040, 0.260)
Nd (0.960, 0.960, 0.740)
Mo (0.500, 0.500, 0.500)
Pb (0.500, 0.500, 0.000)
O (0.206, 0.206, 0.978)
O (0.225, 0.225, 0.534)
O (0.291, 0.648, 0.289)
O (0.352, 0.709, 0.711)
O (0.648, 0.291, 0.289)
O (0.709, 0.352, 0.711)
O (0.775, 0.775, 0.466)
O (0.794, 0.794, 0.022)

Most intense lines, 2θ from 5° to 70°, in order of rising 2θ:
2theta  I (rel.)
21.9  20
24.4  100
25.7  71
30.6  88
31.2  80
35.7  41
47.0  34
47.4  34
48.1  26
49.3  19
51.7  15
58.0  25